For Sr3P4Pd2, a PBE-relaxed structure gives the theoretical powder diffractogram in this record (Cu Kα).
Neutral-atom scattering factors, no anomalous dispersion.

Most intense lines, 2θ from 15° to 90°, by angle:
d/Å	2θ/deg	I/Imax	h k l
2.795	32.02	100	3 1 0
2.763	32.41	23	4 0 -1
2.754	32.51	24	0 0 3
2.209	40.86	24	4 0 2
2.100	43.07	21	0 2 0
2.054	44.09	38	3 1 -3
1.671	54.95	20	0 2 3
1.522	60.87	14	4 2 2
1.506	61.58	14	7 1 -1
1.502	61.76	14	1 1 5

abc: 11.3284 4.2007 8.3199
angles: 90.00 96.69 90.00
Space group C2/m (No. 12)
Symmetry-distinct sites (fractional):
Sr (0.0000, 0.0000, 0.0000) (multiplicity 2)
Sr (0.1653, 0.5000, 0.6677) (multiplicity 4)
P (0.0527, 0.0000, 0.3919) (multiplicity 4)
P (0.2228, 0.5000, 0.0540) (multiplicity 4)
Pd (0.1114, 0.5000, 0.2779) (multiplicity 4)

For SrP3Pd7, a PBE-relaxed structure gives the theoretical powder diffractogram in this record (Cu Kα).
Neutral-atom scattering factors, no anomalous dispersion.

Most intense lines, 2θ from 15° to 90°, by angle:
d/Å	2θ/deg	I/Imax	h k l
2.805	31.90	45	0 2 4
2.488	36.10	87	2 1 1
2.447	36.73	54	0 1 8
2.263	39.84	100	2 1 4
2.154	41.95	69	1 2 5
1.997	45.42	51	1 1 9
1.846	49.35	13	2 2 3
1.447	64.40	28	4 1 0
1.403	66.68	17	0 4 8
1.361	69.02	14	2 1 13

abc: 7.6554 7.6554 21.0644
angles: 90.00 90.00 120.00
Space group R-3c (No. 167, hexagonal axes)
Symmetry-distinct sites (fractional):
Sr (0.0000, 0.0000, 0.0000) (multiplicity 6)
P (0.0000, 0.3227, 0.2500) (multiplicity 18)
Pd (0.0000, 0.0000, 0.2500) (multiplicity 6)
Pd (0.0166, 0.2259, 0.1396) (multiplicity 36)

For Sr2P3Pd6, a PBE-relaxed structure gives the theoretical powder diffractogram in this record (Cu Kα).
Neutral-atom scattering factors, no anomalous dispersion.

Most intense lines, 2θ from 15° to 90°, by angle:
d/Å	2θ/deg	I/Imax	h k l
3.200	27.88	14	2 0 0
2.804	31.92	100	1 1 1
2.419	37.16	23	2 1 0
2.152	41.99	28	0 0 2
2.134	42.36	26	3 0 0
2.109	42.89	61	2 1 1
1.608	57.31	13	2 1 2
1.515	61.18	17	3 0 2
1.329	70.94	24	4 1 1
1.234	77.34	10	2 1 3

abc: 7.3908 7.3908 4.3033
angles: 90.00 90.00 120.00
Space group P-62m (No. 189)
Symmetry-distinct sites (fractional):
Sr (0.3333, 0.6667, 0.0000) (multiplicity 2)
P (0.0000, 0.3592, 0.5000) (multiplicity 3)
Pd (0.0000, 0.2127, 0.0000) (multiplicity 3)
Pd (0.0000, 0.6967, 0.5000) (multiplicity 3)

For TbP4Pd12, a PBE-relaxed structure gives the theoretical powder diffractogram in this record (Cu Kα).
Neutral-atom scattering factors, no anomalous dispersion.

Most intense lines, 2θ from 15° to 90°, by angle:
d/Å	2θ/deg	I/Imax	h k l
2.637	33.99	100	3 1 0
2.408	37.35	7	2 2 2
2.229	40.47	54	3 2 1
1.702	53.85	17	4 2 2
1.636	56.24	20	4 1 3
1.430	65.23	17	5 0 3
1.390	67.37	13	6 0 0
1.353	69.47	12	5 3 2
1.230	77.65	17	6 3 1
1.179	81.63	7	5 3 4

abc: 8.3402 8.3402 8.3402
angles: 90.00 90.00 90.00
Space group Im-3 (No. 204)
Symmetry-distinct sites (fractional):
Tb (0.0000, 0.0000, 0.0000) (multiplicity 2)
P (0.2500, 0.2500, 0.2500) (multiplicity 8)
Pd (0.0000, 0.1701, 0.3341) (multiplicity 24)

For TbP3Pd5, a PBE-relaxed structure gives the theoretical powder diffractogram in this record (Cu Kα).
Neutral-atom scattering factors, no anomalous dispersion.

Most intense lines, 2θ from 15° to 90°, by angle:
d/Å	2θ/deg	I/Imax	h k l
3.382	26.35	28	0 2 3
2.880	31.05	56	0 4 2
2.838	31.52	100	1 3 1
2.717	32.97	46	1 1 3
2.321	38.80	79	1 1 4
2.225	40.55	20	0 2 5
2.052	44.14	31	1 5 2
1.957	46.40	40	2 0 0
1.619	56.88	20	2 4 2
1.462	63.63	20	2 6 0

abc: 3.9140 13.1949 11.8168
angles: 90.00 90.00 90.00
Space group Cmcm (No. 63)
Symmetry-distinct sites (fractional):
Tb (0.0000, 0.1088, 0.2500) (multiplicity 4)
P (0.0000, 0.1409, 0.7500) (multiplicity 4)
P (0.0000, 0.4081, 0.5737) (multiplicity 8)
Pd (0.0000, 0.0000, 0.0000) (multiplicity 4)
Pd (0.0000, 0.2349, 0.5831) (multiplicity 8)
Pd (0.0000, 0.4092, 0.1359) (multiplicity 8)

For Tb3P4Pd4, a PBE-relaxed structure gives the theoretical powder diffractogram in this record (Cu Kα).
Neutral-atom scattering factors, no anomalous dispersion.

Most intense lines, 2θ from 15° to 90°, by angle:
d/Å	2θ/deg	I/Imax	h k l
3.126	28.56	19	1 1 2
2.600	34.50	100	1 2 1
2.530	35.48	29	0 1 5
2.444	36.78	82	1 1 4
2.286	39.41	35	1 2 3
2.263	39.84	29	0 0 6
2.066	43.83	41	0 3 3
2.040	44.40	36	2 0 0
1.589	58.05	21	2 1 5
1.452	64.16	26	2 3 3

abc: 4.0807 6.9640 13.5792
angles: 90.00 90.00 90.00
Space group Immm (No. 71)
Symmetry-distinct sites (fractional):
Tb (0.0000, 0.0000, 0.0000) (multiplicity 2)
Tb (0.0000, 0.5000, 0.1270) (multiplicity 4)
P (0.0000, 0.0000, 0.2165) (multiplicity 4)
P (0.0000, 0.1881, 0.5000) (multiplicity 4)
Pd (0.0000, 0.3012, 0.3306) (multiplicity 8)

For Te5P2Pd12, a PBE-relaxed structure gives the theoretical powder diffractogram in this record (Cu Kα).
Neutral-atom scattering factors, no anomalous dispersion.

Most intense lines, 2θ from 15° to 90°, by angle:
d/Å	2θ/deg	I/Imax	h k l
3.648	24.40	30	1 1 -2
3.565	24.98	41	3 1 -1
3.082	28.97	36	2 2 0
2.828	31.64	36	4 0 -2
2.618	34.25	54	2 2 -2
2.367	38.02	100	2 2 2
2.191	41.20	33	0 2 3
2.172	41.57	44	5 1 1
2.046	44.27	80	3 3 -1
2.023	44.80	35	5 1 -3

abc: 12.9090 7.0666 8.5807
angles: 90.00 102.44 90.00
Space group C2/m (No. 12)
Symmetry-distinct sites (fractional):
Te (0.0000, 0.0000, 0.0000) (multiplicity 2)
Te (0.1440, 0.5000, 0.8993) (multiplicity 4)
Te (0.2101, 0.5000, 0.3091) (multiplicity 4)
P (0.0000, 0.1913, 0.5000) (multiplicity 4)
Pd (0.0148, 0.5000, 0.3489) (multiplicity 4)
Pd (0.0848, 0.0000, 0.3363) (multiplicity 4)
Pd (0.1714, 0.3016, 0.5919) (multiplicity 8)
Pd (0.1791, 0.1997, 0.1054) (multiplicity 8)

For ThTe2P2Pd7, a PBE-relaxed structure gives the theoretical powder diffractogram in this record (Cu Kα).
Neutral-atom scattering factors, no anomalous dispersion.

Most intense lines, 2θ from 15° to 90°, by angle:
d/Å	2θ/deg	I/Imax	h k l
3.458	25.76	40	0 2 0
2.962	30.17	68	0 2 2
2.822	31.71	20	2 0 1
2.562	35.02	100	2 0 2
2.426	37.06	41	2 0 -3
2.290	39.34	54	0 0 5
2.232	40.41	83	2 2 -1
1.725	53.08	32	2 2 4
1.496	62.03	23	2 2 -6
1.343	70.07	15	4 2 1

abc: 5.9434 6.9231 11.4806
angles: 90.00 94.05 90.00
Space group C2/m (No. 12)
Symmetry-distinct sites (fractional):
Th (0.0000, 0.0000, 0.0000) (multiplicity 2)
Te (0.1688, 0.0000, 0.3867) (multiplicity 4)
P (0.1889, 0.5000, 0.1861) (multiplicity 4)
Pd (0.0000, 0.5000, 0.0000) (multiplicity 2)
Pd (0.1392, 0.3007, 0.7887) (multiplicity 8)
Pd (0.1509, 0.5000, 0.3926) (multiplicity 4)

For ThP2Pd7, a PBE-relaxed structure gives the theoretical powder diffractogram in this record (Cu Kα).
Neutral-atom scattering factors, no anomalous dispersion.

Most intense lines, 2θ from 15° to 90°, by angle:
d/Å	2θ/deg	I/Imax	h k l
3.505	25.41	15	1 0 3
2.804	31.92	49	1 1 2
2.518	35.66	52	1 1 4
2.478	36.25	31	0 0 8
2.189	41.23	100	1 1 6
2.067	43.79	63	2 0 0
1.587	58.11	31	2 0 8
1.462	63.66	20	2 2 0
1.274	74.45	20	1 1 14
1.216	78.71	30	3 1 6

abc: 4.1343 4.1343 19.8226
angles: 90.00 90.00 90.00
Space group I4/mmm (No. 139)
Symmetry-distinct sites (fractional):
Th (0.0000, 0.0000, 0.0000) (multiplicity 2)
P (0.0000, 0.0000, 0.3211) (multiplicity 4)
Pd (0.0000, 0.0000, 0.5000) (multiplicity 2)
Pd (0.0000, 0.5000, 0.1087) (multiplicity 8)
Pd (0.0000, 0.5000, 0.2500) (multiplicity 4)

For Th2P3Pd6, a PBE-relaxed structure gives the theoretical powder diffractogram in this record (Cu Kα).
Neutral-atom scattering factors, no anomalous dispersion.

Most intense lines, 2θ from 15° to 90°, by angle:
d/Å	2θ/deg	I/Imax	h k l
3.200	27.88	15	2 0 0
2.781	32.19	100	1 1 1
2.551	35.18	14	2 0 1
2.419	37.17	23	2 1 0
2.133	42.37	32	3 0 0
2.112	42.82	22	0 0 2
2.099	43.09	39	2 1 1
1.591	57.97	13	2 1 2
1.501	61.81	21	3 0 2
1.326	71.09	29	4 1 1

abc: 7.3906 7.3906 4.2237
angles: 90.00 90.00 120.00
Space group P-62m (No. 189)
Symmetry-distinct sites (fractional):
Th (0.3333, 0.6667, 0.0000) (multiplicity 2)
P (0.0000, 0.3587, 0.5000) (multiplicity 3)
Pd (0.0000, 0.2149, 0.0000) (multiplicity 3)
Pd (0.0000, 0.6805, 0.5000) (multiplicity 3)

For TmP2Pd5, a PBE-relaxed structure gives the theoretical powder diffractogram in this record (Cu Kα).
Neutral-atom scattering factors, no anomalous dispersion.

Most intense lines, 2θ from 15° to 90°, by angle:
d/Å	2θ/deg	I/Imax	h k l
2.804	31.91	31	0 2 2
2.546	35.25	100	1 2 1
2.449	36.70	95	1 0 3
2.027	44.71	13	1 3 0
2.007	45.17	33	2 0 0
1.936	46.93	36	0 2 4
1.632	56.37	13	2 2 2
1.430	65.26	12	1 4 3
1.393	67.18	25	2 2 4
1.184	81.22	14	1 2 7

abc: 4.0147 7.0444 9.2702
angles: 90.00 90.00 90.00
Space group Immm (No. 71)
Symmetry-distinct sites (fractional):
Tm (0.0000, 0.0000, 0.0000) (multiplicity 2)
P (0.0000, 0.5000, 0.2535) (multiplicity 4)
Pd (0.0000, 0.2006, 0.3482) (multiplicity 8)
Pd (0.0000, 0.5000, 0.0000) (multiplicity 2)

For Tm4P6Pd5, a PBE-relaxed structure gives the theoretical powder diffractogram in this record (Cu Kα).
Neutral-atom scattering factors, no anomalous dispersion.

Most intense lines, 2θ from 15° to 90°, by angle:
d/Å	2θ/deg	I/Imax	h k l
3.059	29.20	34	0 6 0
3.036	29.42	100	1 1 3
2.656	33.75	74	1 5 1
2.532	35.46	22	1 5 2
2.457	36.57	43	1 3 4
2.418	37.18	28	0 0 6
2.359	38.16	92	1 5 3
2.338	38.50	22	0 2 6
2.167	41.69	28	1 5 4
1.996	45.45	63	2 0 0

abc: 3.9910 18.3517 14.5092
angles: 90.00 90.00 90.00
Space group Cmc2_1 (No. 36)
Symmetry-distinct sites (fractional):
Tm (0.0000, 0.0104, 0.0000) (multiplicity 4)
Tm (0.0000, 0.0366, 0.2596) (multiplicity 4)
Tm (0.0000, 0.1651, 0.7923) (multiplicity 4)
Tm (0.0000, 0.1839, 0.4358) (multiplicity 4)
P (0.0000, 0.1157, 0.6080) (multiplicity 4)
P (0.0000, 0.2192, 0.9792) (multiplicity 4)
P (0.0000, 0.2349, 0.2518) (multiplicity 4)
P (0.0000, 0.4262, 0.6202) (multiplicity 4)
P (0.0000, 0.4309, 0.8971) (multiplicity 4)
P (0.0000, 0.4471, 0.3434) (multiplicity 4)
Pd (0.0000, 0.1507, 0.1215) (multiplicity 4)
Pd (0.0000, 0.3042, 0.1074) (multiplicity 4)
Pd (0.0000, 0.3413, 0.7745) (multiplicity 4)
Pd (0.0000, 0.3586, 0.4607) (multiplicity 4)
Pd (0.0000, 0.4472, 0.1671) (multiplicity 4)